Theoretical powder XRD pattern
Compound: PrSiGeIr
Radiation: Cu Kα, 1.54184 Å
Structure: a PBE-relaxed structure
Intensities are scaled so that the largest is 100.

Crystal structure
```
data_PrSiGeIr
_symmetry_space_group_name_H-M 'C m m m'
_symmetry_Int_Tables_number 65
_symmetry_space_group_name_Hall '-C 2 2'
_cell_length_a 5.5635
_cell_length_b 21.6428
_cell_length_c 2.9166
_cell_angle_alpha 90.00
_cell_angle_beta 90.00
_cell_angle_gamma 90.00
loop_
_atom_site_label
_atom_site_type_symbol
_atom_site_fract_x
_atom_site_fract_y
_atom_site_fract_z
_atom_site_occupancy
Pr1 Pr 0.0000 0.1869 0.0000 1
Si1 Si 0.0000 0.0525 0.0000 1
Ge1 Ge 0.0000 0.3295 0.0000 1
Ir1 Ir 0.0000 0.4403 0.0000 1
```

Main lines, sorted by position (10° ≤ 2θ ≤ 80°):
d [Å]	I/Imax	h k l
5.388	75.5	1 1 0
4.406	42.8	1 3 0
3.416	30.8	1 5 0
2.917	100.0	0 0 1
2.782	88.0	2 0 0
2.705	74.1	0 8 0
2.565	25.3	1 1 1
2.218	19.1	1 5 1
2.013	69.4	2 0 1
1.983	60.5	0 8 1
1.939	53.3	2 8 0
1.615	59.5	2 8 1


Theoretical powder XRD pattern
Compound: Pr3Si2Ge2Ir4
Radiation: Cu Kα, 1.54184 Å
Structure: a PBE-relaxed structure
Intensities are scaled so that the largest is 100.

Crystal structure
```
data_Pr3Si2Ge2Ir4
_symmetry_space_group_name_H-M 'I m m m'
_symmetry_Int_Tables_number 71
_symmetry_space_group_name_Hall '-I 2 2'
_cell_length_a 4.1347
_cell_length_b 4.2048
_cell_length_c 25.1007
_cell_angle_alpha 90.00
_cell_angle_beta 90.00
_cell_angle_gamma 90.00
loop_
_atom_site_label
_atom_site_type_symbol
_atom_site_fract_x
_atom_site_fract_y
_atom_site_fract_z
_atom_site_occupancy
Pr1 Pr 0.0000 0.0000 0.0000 1
Pr2 Pr 0.0000 0.5000 0.1458 1
Si1 Si 0.0000 0.5000 0.3007 1
Ge1 Ge 0.0000 0.0000 0.4498 1
Ir1 Ir 0.0000 0.0000 0.2498 1
Ir2 Ir 0.0000 0.5000 0.3962 1
```

Main lines, sorted by position (10° ≤ 2θ ≤ 80°):
d [Å]	I/Imax	h k l
3.192	11.5	1 0 5
3.138	13.8	0 0 8
2.709	15.6	1 0 7
2.668	100.0	1 1 4
2.324	15.6	0 1 9
2.102	19.5	0 2 0
2.067	18.5	2 0 0
2.006	10.2	0 1 11
1.748	11.3	1 0 13
1.474	12.6	2 2 0
1.299	10.8	1 3 4
1.282	10.3	3 1 4


Theoretical powder XRD pattern
Compound: SrPrGe2Ir
Radiation: Cu Kα, 1.54184 Å
Structure: a PBE-relaxed structure
Intensities are scaled so that the largest is 100.

Crystal structure
```
data_SrPrGe2Ir
_symmetry_space_group_name_H-M 'C 1 2/m 1'
_symmetry_Int_Tables_number 12
_cell_length_a 11.2844
_cell_length_b 4.4547
_cell_length_c 10.8045
_cell_angle_alpha 90.00
_cell_angle_beta 117.93
_cell_angle_gamma 90.00
loop_
_symmetry_equiv_pos_as_xyz
'x,y,z'
'-x,-y,-z'
'-x,y,-z'
'x,-y,z'
'x+1/2,y+1/2,z'
'-x+1/2,-y+1/2,-z'
'-x+1/2,y+1/2,-z'
'x+1/2,-y+1/2,z'
loop_
_atom_site_label
_atom_site_type_symbol
_atom_site_fract_x
_atom_site_fract_y
_atom_site_fract_z
_atom_site_occupancy
Sr1 Sr 0.1879 0.0000 0.1080 1
Pr1 Pr 0.0046 0.0000 0.3328 1
Ge1 Ge 0.0029 0.5000 0.8699 1
Ge2 Ge 0.1651 0.5000 0.5591 1
Ir1 Ir 0.2275 0.5000 0.3524 1
```

Main lines, sorted by position (10° ≤ 2θ ≤ 80°):
d [Å]	I/Imax	h k l
5.632	45.0	2 0 -1
2.840	83.9	1 1 2
2.819	76.8	3 1 -2
2.777	50.8	1 1 -3
2.572	66.4	3 1 -3
2.492	35.8	4 0 0
2.386	39.8	0 0 4
2.363	48.5	4 0 -4
2.348	100.0	3 1 1
2.227	74.4	0 2 0
1.628	33.0	0 2 4
1.516	41.7	7 1 -3


Theoretical powder XRD pattern
Compound: SrPrGe4Ir2
Radiation: Cu Kα, 1.54184 Å
Structure: a PBE-relaxed structure
Intensities are scaled so that the largest is 100.

Crystal structure
```
data_SrPrGe4Ir2
_symmetry_space_group_name_H-M 'A m m 2'
_symmetry_Int_Tables_number 38
_cell_length_a 4.3729
_cell_length_b 4.4349
_cell_length_c 17.3852
_cell_angle_alpha 90.00
_cell_angle_beta 90.00
_cell_angle_gamma 90.00
loop_
_symmetry_equiv_pos_as_xyz
'x,y,z'
'-x,-y,z'
'-x,y,z'
'x,-y,z'
'x,y+1/2,z+1/2'
'-x,-y+1/2,z+1/2'
'-x,y+1/2,z+1/2'
'x,-y+1/2,z+1/2'
loop_
_atom_site_label
_atom_site_type_symbol
_atom_site_fract_x
_atom_site_fract_y
_atom_site_fract_z
_atom_site_occupancy
Sr1 Sr 0.0000 0.0000 0.0000 1
Pr1 Pr 0.5000 0.0000 0.2168 1
Ge1 Ge 0.0000 0.0000 0.3563 1
Ge2 Ge 0.0000 0.0000 0.6488 1
Ge3 Ge 0.5000 0.0000 0.5680 1
Ge4 Ge 0.5000 0.0000 0.8562 1
Ir1 Ir 0.0000 0.0000 0.7865 1
Ir2 Ir 0.5000 0.0000 0.4267 1
```

Main lines, sorted by position (10° ≤ 2θ ≤ 80°):
d [Å]	I/Imax	h k l
8.693	59.8	0 0 2
3.083	25.8	1 0 4
3.065	63.5	1 1 1
2.739	100.0	0 1 5
2.415	31.8	1 0 6
2.320	18.7	1 1 5
2.217	38.1	0 2 0
2.186	36.5	2 0 0
1.942	24.7	1 1 7
1.708	27.0	2 1 5
1.633	19.1	1 2 6
1.557	25.0	2 2 0


Theoretical powder XRD pattern
Compound: PrYGe2Ir
Radiation: Cu Kα, 1.54184 Å
Structure: a PBE-relaxed structure
Intensities are scaled so that the largest is 100.

Crystal structure
```
data_PrYGe2Ir
_symmetry_space_group_name_H-M 'C 1 2/m 1'
_symmetry_Int_Tables_number 12
_cell_length_a 10.7427
_cell_length_b 4.3714
_cell_length_c 10.4971
_cell_angle_alpha 90.00
_cell_angle_beta 117.00
_cell_angle_gamma 90.00
loop_
_symmetry_equiv_pos_as_xyz
'x,y,z'
'-x,-y,-z'
'-x,y,-z'
'x,-y,z'
'x+1/2,y+1/2,z'
'-x+1/2,-y+1/2,-z'
'-x+1/2,y+1/2,-z'
'x+1/2,-y+1/2,z'
loop_
_atom_site_label
_atom_site_type_symbol
_atom_site_fract_x
_atom_site_fract_y
_atom_site_fract_z
_atom_site_occupancy
Pr1 Pr 0.1932 0.0000 0.1181 1
Y1 Y 0.0108 0.0000 0.3335 1
Ge1 Ge 0.0139 0.5000 0.8784 1
Ge2 Ge 0.1479 0.5000 0.5515 1
Ir1 Ir 0.2308 0.5000 0.3424 1
```

Main lines, sorted by position (10° ≤ 2θ ≤ 80°):
d [Å]	I/Imax	h k l
5.360	33.4	2 0 -1
4.786	32.7	2 0 0
3.358	51.5	1 1 -2
2.781	95.5	1 1 2
2.716	100.0	3 1 -2
2.680	30.3	4 0 -2
2.483	37.3	3 1 -3
2.338	34.0	0 0 4
2.280	86.6	3 1 1
2.263	32.0	4 0 -4
2.186	67.1	0 2 0
1.448	28.6	7 1 -3


Theoretical powder XRD pattern
Compound: Pr3Zn2Ge4Ir2
Radiation: Cu Kα, 1.54184 Å
Structure: a PBE-relaxed structure
Intensities are scaled so that the largest is 100.

Crystal structure
```
data_Pr3Zn2Ge4Ir2
_symmetry_space_group_name_H-M 'I m m m'
_symmetry_Int_Tables_number 71
_symmetry_space_group_name_Hall '-I 2 2'
_cell_length_a 4.2103
_cell_length_b 4.2290
_cell_length_c 25.3601
_cell_angle_alpha 90.00
_cell_angle_beta 90.00
_cell_angle_gamma 90.00
loop_
_atom_site_label
_atom_site_type_symbol
_atom_site_fract_x
_atom_site_fract_y
_atom_site_fract_z
_atom_site_occupancy
Pr1 Pr 0.0000 0.0000 0.0000 1
Pr2 Pr 0.0000 0.5000 0.1501 1
Zn1 Zn 0.0000 0.5000 0.4034 1
Ge1 Ge 0.0000 0.0000 0.4504 1
Ge2 Ge 0.0000 0.5000 0.3042 1
Ir1 Ir 0.0000 0.0000 0.2503 1
```

Main lines, sorted by position (10° ≤ 2θ ≤ 80°):
d [Å]	I/Imax	h k l
6.340	17.3	0 0 4
2.747	33.7	1 0 7
2.700	100.0	1 1 4
2.438	20.3	1 1 6
2.345	13.6	0 1 9
2.173	13.2	1 1 8
2.114	29.0	0 2 0
2.105	25.0	2 0 0
2.024	13.2	0 1 11
1.675	13.9	1 2 7
1.492	19.0	2 2 0
1.308	13.5	1 3 4


Theoretical powder XRD pattern
Compound: RbGeIrS5
Radiation: Cu Kα, 1.54184 Å
Structure: a PBE-relaxed structure
Intensities are scaled so that the largest is 100.

Crystal structure
```
data_RbGeIrS5
_symmetry_space_group_name_H-M 'P -1'
_symmetry_Int_Tables_number 2
_cell_length_a 7.1090
_cell_length_b 7.1355
_cell_length_c 8.9748
_cell_angle_alpha 70.12
_cell_angle_beta 79.52
_cell_angle_gamma 74.85
loop_
_symmetry_equiv_pos_as_xyz
'x,y,z'
'-x,-y,-z'
loop_
_atom_site_label
_atom_site_type_symbol
_atom_site_fract_x
_atom_site_fract_y
_atom_site_fract_z
_atom_site_occupancy
Rb1 Rb 0.0882 0.3631 0.3084 1
Ge1 Ge 0.4783 0.7054 0.3682 1
Ir1 Ir 0.2540 0.0095 0.9739 1
S1 S 0.0537 0.7921 0.9748 1
S2 S 0.1955 0.8783 0.2735 1
S3 S 0.2781 0.1305 0.6958 1
S4 S 0.4246 0.6233 0.6393 1
S5 S 0.4460 0.2181 0.9970 1
```

Main lines, sorted by position (10° ≤ 2θ ≤ 80°):
d [Å]	I/Imax	h k l
8.396	50.9	0 0 1
6.552	38.3	0 1 0
6.169	100.0	0 1 1
4.532	35.6	0 1 -1
3.430	43.5	0 2 1
3.336	32.7	2 1 0
3.281	31.2	2 0 1
2.828	16.5	2 2 1
2.797	54.7	0 0 3
2.689	31.7	-2 1 1
2.177	21.2	2 3 1
2.143	27.6	2 -2 0


Theoretical powder XRD pattern
Compound: Sm4Ge9Ir13
Radiation: Cu Kα, 1.54184 Å
Structure: a PBE-relaxed structure
Intensities are scaled so that the largest is 100.

Crystal structure
```
data_Sm4Ge9Ir13
_symmetry_space_group_name_H-M 'P m m n'
_symmetry_Int_Tables_number 59
_cell_length_a 4.0354
_cell_length_b 11.3318
_cell_length_c 19.5730
_cell_angle_alpha 90.00
_cell_angle_beta 90.00
_cell_angle_gamma 90.00
loop_
_symmetry_equiv_pos_as_xyz
'x,y,z'
'-x,-y,-z'
'-x+1/2,-y+1/2,z'
'x+1/2,y+1/2,-z'
'x+1/2,-y,-z'
'-x+1/2,y,z'
'-x,y+1/2,-z'
'x,-y+1/2,z'
loop_
_atom_site_label
_atom_site_type_symbol
_atom_site_fract_x
_atom_site_fract_y
_atom_site_fract_z
_atom_site_occupancy
Sm1 Sm 0.2500 0.0592 0.2082 1
Sm2 Sm 0.2500 0.2500 0.0218 1
Sm3 Sm 0.2500 0.7500 0.5197 1
Ge1 Ge 0.2500 0.0691 0.4154 1
Ge2 Ge 0.2500 0.1210 0.7305 1
Ge3 Ge 0.2500 0.2500 0.6014 1
Ge4 Ge 0.2500 0.5626 0.9189 1
Ge5 Ge 0.2500 0.7500 0.1009 1
Ge6 Ge 0.2500 0.7500 0.7329 1
Ir1 Ir 0.2500 0.0583 0.5402 1
Ir2 Ir 0.2500 0.1273 0.8579 1
Ir3 Ir 0.2500 0.2500 0.3428 1
Ir4 Ir 0.2500 0.5490 0.0466 1
Ir5 Ir 0.2500 0.5664 0.6635 1
Ir6 Ir 0.2500 0.6230 0.3547 1
Ir7 Ir 0.2500 0.7500 0.2275 1
Ir8 Ir 0.2500 0.7500 0.8580 1
```

Main lines, sorted by position (10° ≤ 2θ ≤ 80°):
d [Å]	I/Imax	h k l
3.267	8.2	0 3 3
3.115	9.1	1 2 2
2.539	100.0	1 0 6
2.253	17.8	0 5 1
2.247	9.6	0 2 8
2.018	25.2	2 0 0
1.964	23.7	1 2 8
1.885	11.8	0 3 9
1.502	9.1	2 5 1
1.406	7.8	2 5 5
1.378	13.4	2 6 0
1.244	10.9	3 0 6